Pm3Tm2Sc: calculated X-ray diffraction stick pattern (Cu Kα (λ = 1.5418 Å)), based on a structure optimized by DFT (GGA-PBE).

Structural model:
Unit cell a=7.1086 b=7.1248 c=8.7932 alpha=78.03 beta=77.95 gamma=60.33
Positions (direct):
Pm  0.1377  0.1372  0.1712
Pm  0.1406  0.6386  0.1648
Pm  0.2521  0.2496  0.5030
Pm  0.7479  0.7504  0.4970
Pm  0.8594  0.3614  0.8352
Pm  0.8623  0.8628  0.8288
Tm  0.3636  0.8605  0.8329
Tm  0.3662  0.3637  0.8268
Tm  0.6338  0.6363  0.1732
Tm  0.6364  0.1395  0.1671
Sc  0.2538  0.7467  0.5019
Sc  0.7462  0.2533  0.4981

Principal peaks in the range 2θ = 15–90°, in order of falling intensity:
32.20°, I = 100, hkl 2 0 -1
33.81°, I = 56, hkl 2 0 2
31.44°, I = 52, hkl 0 0 3
29.70°, I = 28, hkl 0 2 1
34.11°, I = 26, hkl 2 2 -1
61.23°, I = 23, hkl 2 4 4